# NaLaZrVO6
Calculated powder diffractogram, copper Kα. Input: a cell relaxed with GGA+U.

The 10 most intense peaks (2θ = 15–90°), sorted by position:
Position (°2θ)  d (Å)  Rel. int.
19.19  4.625  429
31.59  2.832  1000
37.23  2.415  253
45.28  2.003  384
49.61  1.838  118
56.26  1.635  384
60.01  1.542  84
65.97  1.416  221
69.41  1.354  82
74.99  1.267  164

Atomic structure:
abc: 5.664 5.664 5.664
angles: 60.00 60.00 60.00
Fractional positions:
1 Na 0.000 0.000 0.000
2 La 0.500 0.500 0.500
3 Zr 0.250 0.250 0.250
4 V 0.750 0.750 0.750
5 O 0.509 0.509 0.991
6 O 0.509 0.991 0.509
7 O 0.509 0.991 0.991
8 O 0.991 0.509 0.509
9 O 0.991 0.509 0.991
10 O 0.991 0.991 0.509